Record 1
For MgV2In2O8, DFT lattice parameters and positions (PBE+U) gives the theoretical X-ray diffraction stick pattern in this record (a wavelength of 1.5418 Å).
Intensities are scaled so that the largest is 100.

Top 8 peaks for 10 to 90 degrees two-theta, low angle first:
2θ/deg  I_rel
22.95  47.2
26.71  100.0
28.48  16.7
30.80  56.9
33.46  29.3
34.79  16.2
39.81  32.1
46.02  28.9

Structure:
Cell: 5.0149 6.2678 5.2463 Å, 90.00 100.59 90.00°
Space group P2 (No. 3)
One atom of each set of equivalent atoms:
1 Mg 0.0000 0.0000 0.0000 (multiplicity 1)
2 V 0.0000 0.5448 0.0000 (multiplicity 1)
3 V 0.5000 0.2672 0.0000 (multiplicity 1)
4 In 0.0000 0.2671 0.5000 (multiplicity 1)
5 In 0.5000 0.8415 0.5000 (multiplicity 1)
6 O 0.1849 0.7599 0.2129 (multiplicity 2)
7 O 0.2212 0.2698 0.1894 (multiplicity 2)
8 O 0.2539 0.4830 0.7810 (multiplicity 2)
9 O 0.2912 0.0522 0.7426 (multiplicity 2)

=====

Record 2
For MgMnO2, DFT lattice parameters and positions (PBE+U) gives the theoretical X-ray diffraction stick pattern in this record (a wavelength of 1.5418 Å).
Intensities are scaled so that the largest is 100.

Top 8 peaks for 10 to 90 degrees two-theta, low angle first:
2θ/deg  I_rel
17.54  17.8
33.95  13.5
35.51  38.2
41.23  100.0
59.73  57.0
71.45  16.9
75.15  17.3
89.52  7.8

Structure:
Cell: 8.7584 8.7584 8.7584 Å, 90.00 90.00 90.00°
Space group Fd-3m (No. 227, origin choice 2)
One atom of each set of equivalent atoms:
1 Mg 0.0000 0.0000 0.0000 (multiplicity 16)
2 Mn 0.0000 0.0000 0.5000 (multiplicity 16)
3 O 0.0050 0.0050 0.2450 (multiplicity 32)